Starting from a cell relaxed with PBE, the PXRD pattern of Pr2Nd3Ho4 was simulated for Cu Kα.
No peak broadening, texture or thermal motion is included.

Peak list (6 most intense, 2θ = 10–90°, in order of rising 2θ)
| h k l | d [Å] | 2θ (°) | I_rel |
| --- | --- | --- | --- |
| 2 1 1 | 2.954 | 30.25 | 100 |
| 1 1 3 | 2.558 | 35.08 | 51 |
| 3 0 3 | 1.808 | 50.46 | 30 |
| 4 0 1 | 1.543 | 59.95 | 25 |
| 3 3 0 | 1.542 | 60.01 | 14 |
| 5 2 0 | 1.173 | 82.19 | 7 |

Atomic structure:
a = 6.2613 Å, b = 6.2708 Å, c = 8.0885 Å
α = 82.50°, β = 75.11°, γ = 80.50°
Positions (direct):
Pr 0.1682 0.3323 0.3329
Pr 0.8318 0.6677 0.6671
Nd 0.0578 0.1102 0.7779
Nd 0.5000 0.0000 0.0000
Nd 0.9422 0.8898 0.2221
Ho 0.2778 0.5531 0.8883
Ho 0.3908 0.7743 0.4459
Ho 0.6092 0.2257 0.5541
Ho 0.7222 0.4469 0.1117



Starting from a cell relaxed with PBE, the PXRD pattern of TeIrRhO6 was simulated for Cu Kα.
No peak broadening, texture or thermal motion is included.

Peak list (6 most intense, 2θ = 10–90°, in order of rising 2θ)
| h k l | d [Å] | 2θ (°) | I_rel |
| --- | --- | --- | --- |
| 1 0 2 | 3.148 | 28.35 | 100 |
| 1 1 0 | 2.615 | 34.29 | 60 |
| 1 1 2 | 2.245 | 40.17 | 28 |
| 2 0 2 | 2.011 | 45.07 | 28 |
| 1 1 4 | 1.679 | 54.68 | 51 |
| 2 1 2 | 1.594 | 57.83 | 27 |

Atomic structure:
a = 5.2297 Å, b = 5.2297 Å, c = 8.7569 Å
α = 90.00°, β = 90.00°, γ = 120.00°
Positions (direct):
Te 0.3333 0.6667 0.2500
Te 0.6667 0.3333 0.7500
Ir 0.3333 0.6667 0.7500
Ir 0.6667 0.3333 0.2500
Rh 0.0000 0.0000 0.0000
Rh 0.0000 0.0000 0.5000
O 0.0015 0.3487 0.6252
O 0.0015 0.6528 0.8748
O 0.3472 0.3487 0.8748
O 0.3472 0.9985 0.6252
O 0.3487 0.0015 0.1252
O 0.3487 0.3472 0.3748
O 0.6513 0.6528 0.6252
O 0.6513 0.9985 0.8748
O 0.6528 0.0015 0.3748
O 0.6528 0.6513 0.1252
O 0.9985 0.3472 0.1252
O 0.9985 0.6513 0.3748



Starting from a cell relaxed with PBE, the PXRD pattern of CuTe was simulated for Cu Kα.
No peak broadening, texture or thermal motion is included.

Peak list (6 most intense, 2θ = 10–90°, in order of rising 2θ)
| h k l | d [Å] | 2θ (°) | I_rel |
| --- | --- | --- | --- |
| 1 1 1 | 3.309 | 26.94 | 100 |
| 2 1 0 | 2.563 | 35.00 | 25 |
| 2 2 0 | 2.027 | 44.72 | 81 |
| 3 1 1 | 1.728 | 52.98 | 39 |
| 3 3 1 | 1.315 | 71.78 | 14 |
| 4 2 2 | 1.170 | 82.43 | 21 |

Atomic structure:
a = 5.7319 Å, b = 5.7319 Å, c = 5.7319 Å
α = 90.00°, β = 90.00°, γ = 90.00°
Positions (direct):
Cu 0.0000 0.0000 0.0000
Cu 0.0000 0.0000 0.5000
Cu 0.0000 0.5000 0.0000
Cu 0.5000 0.0000 0.0000
Te 0.2719 0.2719 0.2719
Te 0.2719 0.7281 0.7281
Te 0.7281 0.2719 0.7281
Te 0.7281 0.7281 0.2719



Starting from a cell relaxed with PBE, the PXRD pattern of SbO3 was simulated for Cu Kα.
No peak broadening, texture or thermal motion is included.

Peak list (6 most intense, 2θ = 10–90°, in order of rising 2θ)
| h k l | d [Å] | 2θ (°) | I_rel |
| --- | --- | --- | --- |
| 1 0 0 | 4.347 | 20.43 | 40 |
| 1 0 1 | 3.139 | 28.44 | 100 |
| 1 1 0 | 2.510 | 35.78 | 23 |
| 2 0 1 | 1.960 | 46.32 | 26 |
| 1 1 2 | 1.683 | 54.53 | 29 |
| 2 1 1 | 1.545 | 59.88 | 24 |

Atomic structure:
a = 5.0191 Å, b = 5.0191 Å, c = 4.5374 Å
α = 90.00°, β = 90.00°, γ = 120.00°
Positions (direct):
Sb 0.3333 0.6667 0.2500
Sb 0.6667 0.3333 0.7500
O 0.0000 0.3406 0.0000
O 0.0000 0.6594 0.5000
O 0.3406 0.0000 0.0000
O 0.3406 0.3406 0.5000
O 0.6594 0.0000 0.5000
O 0.6594 0.6594 0.0000